The following is a computed X-ray powder pattern of GaAgCl. It was derived from a DFT-relaxed cell (GGA-PBE, Alexandria), using CuKα.

```
6
Lattice="10.813 0.000 0.000 0.000 1.704 3.722 0.000 -1.704 3.722" Properties=species:S:1:pos:R:3 pbc="T T T"
Ga 1.544 0.000 0.000
Ga 9.269 0.000 0.000
Ag 0.000 0.000 5.296
Ag 5.406 0.000 5.818
Cl 3.693 0.000 3.657
Cl 7.120 0.000 3.657
```

Principal peaks in the range 5° ≤ 2θ ≤ 70°, low angle first:
| 2θ/deg | d/Å | I (rel.) |
| --- | --- | --- |
| 8.2 | 10.813 | 29 |
| 16.4 | 5.406 | 73 |
| 28.8 | 3.099 | 75 |
| 29.1 | 3.066 | 100 |
| 33.3 | 2.688 | 97 |
| 38.3 | 2.350 | 84 |
| 41.3 | 2.187 | 79 |
| 44.5 | 2.037 | 50 |
| 46.0 | 1.972 | 55 |
| 70.0 | 1.344 | 30 |